Entry 1:
For AsSBr3F6, a PBE-relaxed structure gives the simulated XRD peak list in this record (CuKα).
Neutral-atom scattering factors, no anomalous dispersion.

Largest 10 diffraction maxima, most intense first, 2θ = 15–90°:
21.05°, intensity 100.0
25.17°, intensity 47.5
21.48°, intensity 42.7
26.31°, intensity 27.6
29.92°, intensity 23.6
29.82°, intensity 21.6
26.50°, intensity 16.8
34.16°, intensity 16.8
18.40°, intensity 15.7
24.96°, intensity 14.3

Structure:
```
AsSBr3F6
1.0
8.323 0.000 0.000
0.000 9.644 0.000
-1.341 0.000 12.284
As S Br F
4 4 12 24
direct
0.211 0.226 0.057 As
0.211 0.274 0.557 As
0.789 0.726 0.443 As
0.789 0.774 0.943 As
0.209 0.698 0.716 S
0.209 0.802 0.216 S
0.791 0.198 0.784 S
0.791 0.302 0.284 S
0.210 0.595 0.287 Br
0.210 0.905 0.787 Br
0.253 0.557 0.855 Br
0.253 0.943 0.355 Br
0.430 0.690 0.636 Br
0.430 0.810 0.136 Br
0.570 0.190 0.864 Br
0.570 0.310 0.364 Br
0.747 0.057 0.645 Br
0.747 0.443 0.145 Br
0.790 0.095 0.213 Br
0.790 0.405 0.713 Br
0.022 0.227 0.487 F
0.022 0.273 0.987 F
0.135 0.059 0.084 F
0.135 0.441 0.584 F
0.150 0.210 0.681 F
0.150 0.290 0.181 F
0.272 0.162 0.931 F
0.272 0.338 0.431 F
0.290 0.107 0.528 F
0.290 0.393 0.028 F
0.403 0.180 0.123 F
0.403 0.320 0.623 F
0.597 0.680 0.377 F
0.597 0.820 0.877 F
0.710 0.607 0.972 F
0.710 0.893 0.472 F
0.728 0.662 0.569 F
0.728 0.838 0.069 F
0.850 0.710 0.819 F
0.850 0.790 0.319 F
0.865 0.559 0.416 F
0.865 0.941 0.916 F
0.978 0.727 0.013 F
0.978 0.773 0.513 F
```

=====

Entry 2:
For Fe3AsBr, a PBE-relaxed structure gives the simulated XRD peak list in this record (CuKα).
Neutral-atom scattering factors, no anomalous dispersion.

Largest 10 diffraction maxima, most intense first, 2θ = 15–90°:
40.38°, intensity 100.0
58.43°, intensity 63.7
34.78°, intensity 54.1
28.25°, intensity 47.1
19.87°, intensity 23.9
73.42°, intensity 20.8
50.01°, intensity 19.4
69.82°, intensity 18.0
80.43°, intensity 10.4
87.30°, intensity 9.9

Structure:
```
Fe3AsBr
1.0
4.468 0.000 0.000
0.000 4.468 0.000
0.000 0.000 4.468
Fe As Br
3 1 1
direct
0.000 0.000 0.500 Fe
0.000 0.500 0.000 Fe
0.500 0.000 0.000 Fe
0.500 0.500 0.500 As
0.000 0.000 0.000 Br
```

=====

Entry 3:
For FeAs2Br, a PBE-relaxed structure gives the simulated XRD peak list in this record (CuKα).
Neutral-atom scattering factors, no anomalous dispersion.

Largest 10 diffraction maxima, most intense first, 2θ = 15–90°:
33.66°, intensity 100.0
51.86°, intensity 60.1
21.75°, intensity 54.8
37.24°, intensity 47.0
29.39°, intensity 46.2
42.39°, intensity 41.5
42.51°, intensity 31.9
28.58°, intensity 30.2
29.17°, intensity 27.8
40.38°, intensity 27.1

Structure:
```
FeAs2Br
1.0
8.509 0.000 0.000
0.000 3.311 0.000
-2.311 0.000 6.700
Fe As Br
2 4 2
direct
0.000 0.000 0.000 Fe
0.500 0.500 0.000 Fe
0.273 0.000 0.940 As
0.426 0.000 0.713 As
0.773 0.500 0.940 As
0.926 0.500 0.713 As
0.126 0.500 0.285 Br
0.626 0.000 0.285 Br
```

=====

Entry 4:
For Rb2FeAsBr6, a PBE-relaxed structure gives the simulated XRD peak list in this record (CuKα).
Neutral-atom scattering factors, no anomalous dispersion.

Largest 10 diffraction maxima, most intense first, 2θ = 15–90°:
28.60°, intensity 100.0
33.09°, intensity 77.9
47.62°, intensity 54.1
33.26°, intensity 38.4
56.38°, intensity 27.9
59.21°, intensity 27.6
47.49°, intensity 27.3
79.14°, intensity 23.6
23.27°, intensity 19.6
88.55°, intensity 18.2

Structure:
```
Rb2FeAsBr6
1.0
-3.829 3.829 5.387
3.829 -3.829 5.387
3.829 3.829 -5.387
Rb Fe As Br
2 1 1 6
direct
0.250 0.750 0.500 Rb
0.750 0.250 0.500 Rb
0.000 0.000 0.000 Fe
0.500 0.500 0.000 As
0.243 0.243 0.000 Br
0.243 0.243 0.486 Br
0.243 0.757 0.000 Br
0.757 0.243 0.000 Br
0.757 0.757 0.000 Br
0.757 0.757 0.514 Br
```

=====

Entry 5:
For Ga4Hg11As4Br16, a PBE-relaxed structure gives the simulated XRD peak list in this record (CuKα).
Neutral-atom scattering factors, no anomalous dispersion.

Largest 10 diffraction maxima, most intense first, 2θ = 15–90°:
26.62°, intensity 100.0
27.75°, intensity 93.5
27.28°, intensity 80.0
45.97°, intensity 69.1
45.62°, intensity 62.9
28.42°, intensity 57.4
26.09°, intensity 56.5
42.63°, intensity 49.1
22.35°, intensity 48.3
54.93°, intensity 38.2

Structure:
```
Ga4Hg11As4Br16
1.0
6.914 -3.949 0.000
6.914 3.949 0.000
-3.626 0.000 22.880
Ga Hg As Br
4 11 4 16
direct
0.138 0.138 0.386 Ga
0.255 0.255 0.886 Ga
0.745 0.745 0.114 Ga
0.862 0.862 0.614 Ga
0.026 0.026 0.058 Hg
0.234 0.737 0.779 Hg
0.263 0.766 0.221 Hg
0.264 0.264 0.217 Hg
0.468 0.468 0.383 Hg
0.500 0.500 0.500 Hg
0.532 0.532 0.617 Hg
0.736 0.736 0.783 Hg
0.737 0.234 0.779 Hg
0.766 0.263 0.221 Hg
0.974 0.974 0.942 Hg
0.084 0.084 0.171 As
0.441 0.441 0.267 As
0.559 0.559 0.733 As
0.916 0.916 0.829 As
0.032 0.032 0.654 Br
0.034 0.552 0.654 Br
0.070 0.580 0.087 Br
0.164 0.164 0.487 Br
0.240 0.240 0.782 Br
0.420 0.930 0.913 Br
0.423 0.423 0.924 Br
0.448 0.966 0.346 Br
0.552 0.034 0.654 Br
0.577 0.577 0.076 Br
0.580 0.070 0.087 Br
0.760 0.760 0.218 Br
0.836 0.836 0.513 Br
0.930 0.420 0.913 Br
0.966 0.448 0.346 Br
0.968 0.968 0.346 Br
```

=====

Entry 6:
For GaAsPtBr2, a PBE-relaxed structure gives the simulated XRD peak list in this record (CuKα).
Neutral-atom scattering factors, no anomalous dispersion.

Largest 10 diffraction maxima, most intense first, 2θ = 15–90°:
32.65°, intensity 100.0
16.16°, intensity 81.1
51.21°, intensity 55.6
24.96°, intensity 53.6
46.85°, intensity 36.2
38.32°, intensity 32.3
18.89°, intensity 31.5
62.07°, intensity 31.0
22.93°, intensity 29.4
41.53°, intensity 28.5

Structure:
```
GaAsPtBr2
1.0
5.485 0.000 0.000
0.000 5.485 0.000
0.000 0.000 4.697
Ga As Pt Br
1 1 1 2
direct
0.000 0.000 0.000 Ga
0.500 0.500 0.000 As
0.500 0.500 0.500 Pt
0.000 0.500 0.500 Br
0.500 0.000 0.500 Br
```

=====

Entry 7:
For Ge19As4Br4, a PBE-relaxed structure gives the simulated XRD peak list in this record (CuKα).
Neutral-atom scattering factors, no anomalous dispersion.

Largest 10 diffraction maxima, most intense first, 2θ = 15–90°:
31.25°, intensity 100.0
49.64°, intensity 50.4
52.69°, intensity 46.7
30.09°, intensity 34.5
28.88°, intensity 30.5
51.18°, intensity 22.9
34.53°, intensity 19.2
50.41°, intensity 16.9
35.57°, intensity 11.3
33.47°, intensity 9.8

Structure:
```
Ge19As4Br4
1.0
10.709 0.000 0.000
0.000 10.709 0.000
0.000 0.000 10.709
Ge As Br
38 8 8
direct
0.000 0.250 0.500 Ge
0.000 0.750 0.500 Ge
0.002 0.117 0.690 Ge
0.002 0.883 0.310 Ge
0.117 0.310 0.998 Ge
0.117 0.690 0.002 Ge
0.182 0.182 0.818 Ge
0.182 0.818 0.182 Ge
0.190 0.383 0.498 Ge
0.190 0.617 0.502 Ge
0.250 0.500 0.000 Ge
0.310 0.002 0.883 Ge
0.310 0.998 0.117 Ge
0.318 0.318 0.318 Ge
0.318 0.682 0.682 Ge
0.383 0.498 0.190 Ge
0.383 0.502 0.810 Ge
0.498 0.190 0.383 Ge
0.498 0.810 0.617 Ge
0.500 0.000 0.250 Ge
0.500 0.000 0.750 Ge
0.502 0.190 0.617 Ge
0.502 0.810 0.383 Ge
0.617 0.498 0.810 Ge
0.617 0.502 0.190 Ge
0.682 0.318 0.682 Ge
0.682 0.682 0.318 Ge
0.690 0.002 0.117 Ge
0.690 0.998 0.883 Ge
0.750 0.500 0.000 Ge
0.810 0.383 0.502 Ge
0.810 0.617 0.498 Ge
0.818 0.182 0.182 Ge
0.818 0.818 0.818 Ge
0.883 0.310 0.002 Ge
0.883 0.690 0.998 Ge
0.998 0.117 0.310 Ge
0.998 0.883 0.690 Ge
0.184 0.184 0.184 As
0.184 0.816 0.816 As
0.316 0.316 0.684 As
0.316 0.684 0.316 As
0.684 0.316 0.316 As
0.684 0.684 0.684 As
0.816 0.184 0.816 As
0.816 0.816 0.184 As
0.000 0.000 0.000 Br
0.000 0.500 0.250 Br
0.000 0.500 0.750 Br
0.250 0.000 0.500 Br
0.500 0.250 0.000 Br
0.500 0.500 0.500 Br
0.500 0.750 0.000 Br
0.750 0.000 0.500 Br
```

=====

Entry 8:
For Pm6Ge2AsBr3, a PBE-relaxed structure gives the simulated XRD peak list in this record (CuKα).
Neutral-atom scattering factors, no anomalous dispersion.

Largest 10 diffraction maxima, most intense first, 2θ = 15–90°:
29.28°, intensity 100.0
42.37°, intensity 39.0
41.40°, intensity 31.5
52.33°, intensity 19.6
69.52°, intensity 16.6
25.48°, intensity 12.7
76.83°, intensity 10.1
60.73°, intensity 10.1
68.14°, intensity 9.8
77.49°, intensity 6.6

Structure:
```
Pm6Ge2AsBr3
1.0
9.478 -2.134 0.000
9.478 2.134 0.000
-2.276 0.000 8.422
Pm Ge As Br
6 2 1 3
direct
0.009 0.009 0.228 Pm
0.325 0.325 0.438 Pm
0.341 0.341 0.895 Pm
0.659 0.659 0.105 Pm
0.675 0.675 0.562 Pm
0.991 0.991 0.772 Pm
0.167 0.167 0.332 Ge
0.833 0.833 0.668 Ge
0.500 0.500 0.000 As
0.166 0.166 0.832 Br
0.500 0.500 0.500 Br
0.834 0.834 0.168 Br
```

=====

Entry 9:
For GeAsPtBr2, a PBE-relaxed structure gives the simulated XRD peak list in this record (CuKα).
Neutral-atom scattering factors, no anomalous dispersion.

Largest 10 diffraction maxima, most intense first, 2θ = 15–90°:
34.65°, intensity 100.0
17.13°, intensity 81.0
51.47°, intensity 64.4
25.08°, intensity 63.1
36.84°, intensity 42.3
18.18°, intensity 39.3
49.81°, intensity 35.5
63.54°, intensity 34.0
24.31°, intensity 30.5
43.25°, intensity 30.3

Structure:
```
GeAsPtBr2
1.0
5.177 0.000 0.000
0.000 5.177 0.000
0.000 0.000 4.880
Ge As Pt Br
1 1 1 2
direct
0.000 0.000 0.000 Ge
0.500 0.500 0.000 As
0.500 0.500 0.500 Pt
0.000 0.500 0.500 Br
0.500 0.000 0.500 Br
```

=====

Entry 10:
For GeTeAsBr2, a PBE-relaxed structure gives the simulated XRD peak list in this record (CuKα).
Neutral-atom scattering factors, no anomalous dispersion.

Largest 10 diffraction maxima, most intense first, 2θ = 15–90°:
29.55°, intensity 100.0
35.21°, intensity 72.0
48.50°, intensity 57.2
32.27°, intensity 45.6
23.70°, intensity 30.6
61.34°, intensity 27.9
59.73°, intensity 26.2
50.65°, intensity 25.1
55.88°, intensity 16.1
78.51°, intensity 13.7

Structure:
```
GeTeAsBr2
1.0
5.098 0.000 0.000
0.000 5.098 0.000
0.000 0.000 5.548
Ge Te As Br
1 1 1 2
direct
0.000 0.000 0.000 Ge
0.500 0.500 0.500 Te
0.000 0.000 0.500 As
0.000 0.500 0.000 Br
0.500 0.000 0.000 Br
```

=====

Entry 11:
For VGeAsBr, a PBE-relaxed structure gives the simulated XRD peak list in this record (CuKα).
Neutral-atom scattering factors, no anomalous dispersion.

Largest 10 diffraction maxima, most intense first, 2θ = 15–90°:
29.25°, intensity 100.0
47.53°, intensity 55.5
35.41°, intensity 53.1
35.54°, intensity 26.8
43.99°, intensity 22.3
44.09°, intensity 22.0
44.19°, intensity 21.7
22.65°, intensity 18.5
29.31°, intensity 11.6
56.76°, intensity 11.1

Structure:
```
VGeAsBr
1.0
3.825 0.000 0.000
1.911 3.314 0.000
0.020 0.036 7.852
V Ge As Br
1 1 1 1
direct
0.000 0.000 0.000 V
0.000 0.996 0.367 Ge
0.667 0.664 0.187 As
0.333 0.335 0.810 Br
```

=====

Entry 12:
For SnAsHOsBr, a PBE-relaxed structure gives the simulated XRD peak list in this record (CuKα).
Neutral-atom scattering factors, no anomalous dispersion.

Largest 10 diffraction maxima, most intense first, 2θ = 15–90°:
43.66°, intensity 100.0
25.49°, intensity 74.5
28.05°, intensity 71.2
23.64°, intensity 70.0
37.60°, intensity 68.7
39.21°, intensity 68.0
35.48°, intensity 60.3
25.10°, intensity 56.5
43.52°, intensity 52.9
29.55°, intensity 52.6

Structure:
```
SnAsHOsBr
1.0
4.151 0.000 0.000
2.071 3.616 0.000
1.719 -0.454 7.528
Sn As H Os Br
1 1 1 1 1
direct
0.000 0.000 0.000 Sn
0.205 0.366 0.270 As
0.695 0.653 0.947 H
0.589 0.687 0.164 Os
0.169 0.954 0.660 Br
```